Diffraction record for LiLa2Ga6Pd. The powder diffraction line list is calculated, not measured: it uses a cell relaxed with PBE and λ = 1.5418 Å (Cu Kα).
Kinematic intensities with the Lorentz-polarization factor, no thermal factor.

Largest 10 diffraction maxima, in order of rising 2θ, 2θ = 10–90°:
- 2θ = 26.64°, 3.346 Å, rel. 43, (2 0 0)
- 2θ = 32.78°, 2.732 Å, rel. 100, (2 0 2)
- 2θ = 37.97°, 2.369 Å, rel. 63, (2 2 0)
- 2θ = 38.16°, 2.358 Å, rel. 31, (0 0 4)
- 2θ = 47.01°, 1.933 Å, rel. 11, (3 1 2)
- 2θ = 54.79°, 1.675 Å, rel. 21, (4 0 0)
- 2θ = 54.93°, 1.671 Å, rel. 42, (2 2 4)
- 2θ = 65.34°, 1.428 Å, rel. 25, (4 2 2)
- 2θ = 65.59°, 1.423 Å, rel. 12, (2 0 6)
- 2θ = 68.72°, 1.366 Å, rel. 21, (4 0 4)

Atomic structure:
Lattice parameters (Å, degrees): 6.7019 6.7019 9.4331 90.00 90.00 90.00
Space group I4/mmm (No. 139)
Asymmetric unit:
Li: 0.0000 0.0000 0.0000
La: 0.0000 0.5000 0.2500
Ga: 0.0000 0.0000 0.2385
Ga: 0.2383 0.2383 0.0000
Pd: 0.0000 0.0000 0.5000

---

Diffraction record for Li2La2TbGa2. The powder diffraction line list is calculated, not measured: it uses a cell relaxed with PBE and λ = 1.5418 Å (Cu Kα).
Kinematic intensities with the Lorentz-polarization factor, no thermal factor.

Largest 10 diffraction maxima, in order of rising 2θ, 2θ = 10–90°:
- 2θ = 22.27°, 3.991 Å, rel. 100, (1 0 1)
- 2θ = 32.55°, 2.751 Å, rel. 99, (1 0 7)
- 2θ = 35.20°, 2.549 Å, rel. 80, (0 1 8)
- 2θ = 38.62°, 2.331 Å, rel. 83, (1 1 0)
- 2θ = 51.38°, 1.778 Å, rel. 27, (0 2 7)
- 2θ = 53.24°, 1.720 Å, rel. 24, (2 0 8)
- 2θ = 60.81°, 1.523 Å, rel. 19, (2 1 1)
- 2θ = 66.08°, 1.414 Å, rel. 25, (2 1 7)
- 2θ = 66.76°, 1.401 Å, rel. 33, (1 1 15)
- 2θ = 67.68°, 1.384 Å, rel. 24, (1 2 8)

Atomic structure:
Lattice parameters (Å, degrees): 4.6627 4.6627 26.2986 90.00 90.00 120.00
Space group R-3m (No. 166, hexagonal axes)
Asymmetric unit:
Li: 0.0000 0.0000 0.1066
La: 0.0000 0.0000 0.3669
Tb: 0.0000 0.0000 0.5000
Ga: 0.0000 0.0000 0.2325

---

Diffraction record for LiLaTmGa. The powder diffraction line list is calculated, not measured: it uses a cell relaxed with PBE and λ = 1.5418 Å (Cu Kα).
Kinematic intensities with the Lorentz-polarization factor, no thermal factor.

Largest 10 diffraction maxima, in order of rising 2θ, 2θ = 10–90°:
- 2θ = 20.89°, 4.253 Å, rel. 9, (1 1 1)
- 2θ = 24.16°, 3.683 Å, rel. 43, (2 0 0)
- 2θ = 34.43°, 2.605 Å, rel. 100, (2 2 0)
- 2θ = 42.51°, 2.127 Å, rel. 13, (2 2 2)
- 2θ = 49.49°, 1.842 Å, rel. 18, (4 0 0)
- 2θ = 55.81°, 1.647 Å, rel. 18, (4 2 0)
- 2θ = 61.68°, 1.504 Å, rel. 37, (4 2 2)
- 2θ = 72.59°, 1.302 Å, rel. 11, (4 4 0)
- 2θ = 77.79°, 1.228 Å, rel. 8, (6 0 0)
- 2θ = 82.88°, 1.165 Å, rel. 16, (6 2 0)

Atomic structure:
Lattice parameters (Å, degrees): 7.3669 7.3669 7.3669 90.00 90.00 90.00
Space group F-43m (No. 216)
Asymmetric unit:
Li: 0.0000 0.0000 0.0000
La: 0.2500 0.2500 0.7500
Tm: 0.2500 0.2500 0.2500
Ga: 0.0000 0.0000 0.5000

---

Diffraction record for La2Mg12Ga7. The powder diffraction line list is calculated, not measured: it uses a cell relaxed with PBE and λ = 1.5418 Å (Cu Kα).
Kinematic intensities with the Lorentz-polarization factor, no thermal factor.

Largest 10 diffraction maxima, in order of rising 2θ, 2θ = 10–90°:
- 2θ = 15.88°, 5.579 Å, rel. 16, (1 1 0)
- 2θ = 24.37°, 3.653 Å, rel. 20, (2 1 0)
- 2θ = 27.65°, 3.226 Å, rel. 53, (0 2 1)
- 2θ = 32.04°, 2.793 Å, rel. 100, (3 -1 1)
- 2θ = 39.53°, 2.280 Å, rel. 25, (4 -3 1)
- 2θ = 41.65°, 2.168 Å, rel. 16, (0 0 2)
- 2θ = 42.88°, 2.109 Å, rel. 43, (1 4 0)
- 2θ = 45.98°, 1.974 Å, rel. 18, (3 2 1)
- 2θ = 54.46°, 1.685 Å, rel. 15, (1 3 2)
- 2θ = 61.33°, 1.512 Å, rel. 19, (1 4 2)

Atomic structure:
Lattice parameters (Å, degrees): 11.1587 11.1587 4.3365 90.00 90.00 120.00
Space group P-3 (No. 147)
Asymmetric unit:
La: 0.3333 0.6667 0.2611
Mg: 0.0439 0.4297 0.7506
Mg: 0.1097 0.2646 0.2490
Ga: 0.0000 0.0000 0.5000
Ga: 0.1329 0.7098 0.7528

---

Diffraction record for La3MgGa2. The powder diffraction line list is calculated, not measured: it uses a cell relaxed with PBE and λ = 1.5418 Å (Cu Kα).
Kinematic intensities with the Lorentz-polarization factor, no thermal factor.

Largest 10 diffraction maxima, in order of rising 2θ, 2θ = 10–90°:
- 2θ = 23.25°, 3.825 Å, rel. 21, (0 1 2)
- 2θ = 33.12°, 2.705 Å, rel. 100, (1 1 0)
- 2θ = 40.89°, 2.207 Å, rel. 5, (2 0 2)
- 2θ = 47.54°, 1.913 Å, rel. 18, (0 2 4)
- 2θ = 59.04°, 1.564 Å, rel. 8, (0 1 8)
- 2θ = 59.20°, 1.561 Å, rel. 28, (3 0 0)
- 2θ = 69.42°, 1.354 Å, rel. 5, (2 0 8)
- 2θ = 69.59°, 1.351 Å, rel. 6, (2 2 0)
- 2θ = 79.12°, 1.210 Å, rel. 7, (1 2 8)
- 2θ = 79.25°, 1.209 Å, rel. 8, (1 3 4)

Atomic structure:
Lattice parameters (Å, degrees): 5.4038 5.4038 13.2800 90.00 90.00 120.00
Space group P-3m1 (No. 164)
Asymmetric unit:
La: 0.0000 0.0000 0.2386
La: 0.3333 0.6667 0.4192
La: 0.3333 0.6667 0.9291
Mg: 0.3333 0.6667 0.6735
Ga: 0.0000 0.0000 0.0000
Ga: 0.0000 0.0000 0.5000
Ga: 0.3333 0.6667 0.1788

---

Diffraction record for LaMgGa. The powder diffraction line list is calculated, not measured: it uses a cell relaxed with PBE and λ = 1.5418 Å (Cu Kα).
Kinematic intensities with the Lorentz-polarization factor, no thermal factor.

Largest 10 diffraction maxima, in order of rising 2θ, 2θ = 10–90°:
- 2θ = 16.04°, 5.527 Å, rel. 24, (1 0 1)
- 2θ = 23.01°, 3.866 Å, rel. 40, (1 0 2)
- 2θ = 24.77°, 3.595 Å, rel. 48, (1 1 1)
- 2θ = 29.84°, 2.994 Å, rel. 23, (1 1 2)
- 2θ = 32.28°, 2.773 Å, rel. 100, (2 1 0)
- 2θ = 34.41°, 2.606 Å, rel. 97, (0 1 3)
- 2θ = 38.03°, 2.366 Å, rel. 38, (0 2 0)
- 2θ = 39.05°, 2.307 Å, rel. 58, (2 0 3)
- 2θ = 55.64°, 1.652 Å, rel. 41, (2 2 3)
- 2θ = 69.03°, 1.361 Å, rel. 20, (2 1 6)

Atomic structure:
Lattice parameters (Å, degrees): 6.8449 4.7323 9.3683 90.00 90.00 90.00
Space group Pnma (No. 62)
Asymmetric unit:
La: 0.1516 0.2500 0.0874
Mg: 0.1242 0.2500 0.4212
Ga: 0.0803 0.2500 0.7363

---

Diffraction record for LaMg14Ga. The powder diffraction line list is calculated, not measured: it uses a cell relaxed with PBE and λ = 1.5418 Å (Cu Kα).
Kinematic intensities with the Lorentz-polarization factor, no thermal factor.

Largest 10 diffraction maxima, in order of rising 2θ, 2θ = 10–90°:
- 2θ = 15.47°, 5.727 Å, rel. 22, (0 0 2)
- 2θ = 16.96°, 5.228 Å, rel. 19, (2 0 0)
- 2θ = 17.66°, 5.023 Å, rel. 31, (1 0 2)
- 2θ = 32.26°, 2.775 Å, rel. 39, (0 2 2)
- 2θ = 34.31°, 2.614 Å, rel. 41, (4 0 0)
- 2θ = 35.75°, 2.511 Å, rel. 61, (2 0 4)
- 2θ = 36.66°, 2.451 Å, rel. 100, (2 2 2)
- 2θ = 47.80°, 1.903 Å, rel. 22, (4 2 2)
- 2θ = 62.99°, 1.476 Å, rel. 19, (6 2 2)
- 2θ = 67.55°, 1.387 Å, rel. 21, (4 2 6)

Atomic structure:
Lattice parameters (Å, degrees): 10.4554 6.3447 11.4541 90.00 90.00 90.00
Space group Amm2 (No. 38)
Asymmetric unit:
La: 0.0000 0.0000 0.0000
Mg: 0.0000 0.2428 0.2517
Mg: 0.2278 0.0000 0.6431
Mg: 0.2550 0.2501 0.4002
Mg: 0.2597 0.0000 0.1554
Mg: 0.5000 0.0000 0.4896
Mg: 0.5000 0.0000 0.9876
Mg: 0.5000 0.2442 0.7372
Ga: 0.0000 0.0000 0.4742

---

Diffraction record for LaMg2GaPd2. The powder diffraction line list is calculated, not measured: it uses a cell relaxed with PBE and λ = 1.5418 Å (Cu Kα).
Kinematic intensities with the Lorentz-polarization factor, no thermal factor.

Largest 10 diffraction maxima, in order of rising 2θ, 2θ = 10–90°:
- 2θ = 24.45°, 3.641 Å, rel. 100, (1 1 0)
- 2θ = 30.53°, 2.928 Å, rel. 20, (1 0 3)
- 2θ = 33.57°, 2.670 Å, rel. 30, (0 0 4)
- 2θ = 34.85°, 2.575 Å, rel. 65, (2 0 0)
- 2θ = 41.97°, 2.153 Å, rel. 38, (1 1 4)
- 2θ = 49.16°, 1.853 Å, rel. 40, (2 0 4)
- 2θ = 50.11°, 1.820 Å, rel. 23, (2 2 0)
- 2θ = 56.52°, 1.628 Å, rel. 19, (3 1 0)
- 2θ = 61.67°, 1.504 Å, rel. 20, (2 2 4)
- 2θ = 67.36°, 1.390 Å, rel. 18, (3 1 4)

Atomic structure:
Lattice parameters (Å, degrees): 5.1491 5.1491 10.6783 90.00 90.00 90.00
Space group I4/mmm (No. 139)
Asymmetric unit:
La: 0.0000 0.0000 0.0000
Mg: 0.0000 0.5000 0.2500
Ga: 0.0000 0.0000 0.5000
Pd: 0.0000 0.0000 0.2744